Record 1
TaTlS3: calculated XRD peak list (Cu Kα (weighted mean of Kα1 and Kα2)), based on a cell relaxed with GGA-PBE.

Most intense lines, 2θ = 5–70°, sorted by position:
- 2θ 15.27, d 5.802, I 57, (1 0 2)
- 2θ 20.40, d 4.353, I 96, (1 0 3)
- 2θ 22.40, d 3.970, I 38, (2 0 2)
- 2θ 29.66, d 3.012, I 82, (1 1 2)
- 2θ 31.84, d 2.811, I 42, (1 0 5)
- 2θ 32.30, d 2.772, I 100, (2 1 1)
- 2θ 39.90, d 2.260, I 40, (0 1 5)
- 2θ 45.88, d 1.978, I 81, (3 1 4)

Cell and atoms:
```
data_TaTlS3
_cell_length_a 9.4271
_cell_length_b 3.5235
_cell_length_c 14.7247
_cell_angle_alpha 90.00
_cell_angle_beta 90.00
_cell_angle_gamma 90.00
_symmetry_space_group_name_H-M 'P n m a'
_symmetry_Int_Tables_number 62
loop_
_symmetry_equiv_pos_as_xyz
'x,y,z'
'-x,-y,-z'
'-x+1/2,-y,z+1/2'
'x+1/2,y,-z+1/2'
'x+1/2,-y+1/2,-z+1/2'
'-x+1/2,y+1/2,z+1/2'
'-x,y+1/2,-z'
'x,-y+1/2,z'
loop_
_atom_site_label
_atom_site_fract_x
_atom_site_fract_y
_atom_site_fract_z
_atom_site_occupancy
Ta1 0.1591 0.2500 0.0696 1
Tl1 0.0166 0.7500 0.3275 1
S1 0.0228 0.2500 0.9038 1
S2 0.1931 0.2500 0.5016 1
S3 0.2489 0.2500 0.2119 1
```

***

Record 2
LiCrP2S7: calculated XRD peak list (Cu Kα (weighted mean of Kα1 and Kα2)), based on a cell relaxed with GGA-PBE.

Most intense lines, 2θ = 5–70°, sorted by position:
- 2θ 13.84, d 6.399, I 59, (1 1 0)
- 2θ 14.71, d 6.020, I 100, (0 0 1)
- 2θ 18.03, d 4.919, I 28, (0 2 0)
- 2θ 23.37, d 3.807, I 30, (0 2 1)
- 2θ 27.89, d 3.199, I 32, (2 2 0)
- 2θ 33.18, d 2.700, I 41, (2 0 -2)
- 2θ 33.54, d 2.672, I 55, (2 2 1)
- 2θ 46.70, d 1.945, I 39, (2 4 1)

Cell and atoms:
```
data_LiCrP2S7
_cell_length_a 8.5762
_cell_length_b 9.8382
_cell_length_c 6.1287
_cell_angle_alpha 90.00
_cell_angle_beta 100.80
_cell_angle_gamma 90.00
_symmetry_space_group_name_H-M 'C 1 2 1'
_symmetry_Int_Tables_number 5
loop_
_symmetry_equiv_pos_as_xyz
'x,y,z'
'-x,y,-z'
'x+1/2,y+1/2,z'
'-x+1/2,y+1/2,-z'
loop_
_atom_site_label
_atom_site_fract_x
_atom_site_fract_y
_atom_site_fract_z
_atom_site_occupancy
Li1 0.0000 0.0000 0.0000 1
Cr1 0.0000 0.6058 0.5000 1
P1 0.2110 0.2646 0.5815 1
S1 0.0000 0.1430 0.5000 1
S2 0.1534 0.6310 0.2122 1
S3 0.1712 0.4397 0.7387 1
S4 0.1812 0.7752 0.6878 1
```

***

Record 3
CeH14Cl3O7: calculated XRD peak list (Cu Kα (weighted mean of Kα1 and Kα2)), based on a cell relaxed with GGA-PBE.

Most intense lines, 2θ = 5–70°, sorted by position:
- 2θ 10.40, d 8.503, I 35, (0 0 1)
- 2θ 12.76, d 6.937, I 100, (0 1 1)
- 2θ 13.53, d 6.545, I 83, (1 0 1)
- 2θ 16.79, d 5.282, I 49, (1 -1 0)
- 2θ 20.33, d 4.367, I 68, (1 1 2)
- 2θ 22.99, d 3.868, I 40, (1 2 1)
- 2θ 23.36, d 3.808, I 31, (2 0 0)
- 2θ 33.93, d 2.642, I 33, (1 3 2)

Cell and atoms:
```
data_CeH14Cl3O7
_cell_length_a 7.9546
_cell_length_b 8.2621
_cell_length_c 9.3618
_cell_angle_alpha 69.74
_cell_angle_beta 73.53
_cell_angle_gamma 81.44
_symmetry_space_group_name_H-M 'P -1'
_symmetry_Int_Tables_number 2
loop_
_symmetry_equiv_pos_as_xyz
'x,y,z'
'-x,-y,-z'
loop_
_atom_site_label
_atom_site_fract_x
_atom_site_fract_y
_atom_site_fract_z
_atom_site_occupancy
Ce1 0.2167 0.1835 0.3239 1
H1 0.0040 0.8497 0.9079 1
H2 0.0855 0.5362 0.7721 1
H3 0.0923 0.5309 0.1100 1
H4 0.1222 0.9800 0.1256 1
H5 0.1226 0.0386 0.6902 1
H6 0.2031 0.5717 0.3146 1
H7 0.2569 0.4699 0.4738 1
H8 0.2639 0.1753 0.6522 1
H9 0.3545 0.3624 0.9487 1
H10 0.3857 0.8700 0.6499 1
H11 0.4366 0.6754 0.6531 1
H12 0.4463 0.9584 0.8805 1
H13 0.4790 0.8649 0.2394 1
H14 0.4873 0.6589 0.9759 1
Cl1 0.1435 0.8205 0.4870 1
Cl2 0.2124 0.7772 0.0394 1
Cl3 0.3366 0.3853 0.7119 1
O1 0.0315 0.4237 0.1757 1
O2 0.0610 0.0741 0.1689 1
O3 0.2203 0.4557 0.3870 1
O4 0.2346 0.0859 0.6160 1
O5 0.3831 0.3516 0.0480 1
O6 0.4476 0.9889 0.1966 1
O7 0.4782 0.7763 0.6628 1
```

***

Record 4
TiFeCoAs: calculated XRD peak list (Cu Kα (weighted mean of Kα1 and Kα2)), based on a cell relaxed with GGA-PBE.

Most intense lines, 2θ = 5–70°, sorted by position:
- 2θ 26.44, d 3.371, I 4, (1 1 1)
- 2θ 43.85, d 2.064, I 100, (2 2 0)
- 2θ 51.94, d 1.761, I 2, (3 1 1)
- 2θ 63.76, d 1.460, I 15, (4 0 0)

Cell and atoms:
```
data_TiFeCoAs
_cell_length_a 5.8391
_cell_length_b 5.8391
_cell_length_c 5.8391
_cell_angle_alpha 90.00
_cell_angle_beta 90.00
_cell_angle_gamma 90.00
_symmetry_space_group_name_H-M 'F -4 3 m'
_symmetry_Int_Tables_number 216
_symmetry_space_group_name_Hall 'F -4 2 3'
loop_
_atom_site_label
_atom_site_fract_x
_atom_site_fract_y
_atom_site_fract_z
_atom_site_occupancy
Ti1 0.0000 0.0000 0.0000 1
Fe1 0.2500 0.2500 0.2500 1
Co1 0.2500 0.2500 0.7500 1
As1 0.0000 0.0000 0.5000 1
```

***

Record 5
K2Ge2S5: calculated XRD peak list (Cu Kα (weighted mean of Kα1 and Kα2)), based on a cell relaxed with GGA-PBE.

Most intense lines, 2θ = 5–70°, sorted by position:
- 2θ 11.88, d 7.450, I 100, (1 1 -1)
- 2θ 14.19, d 6.244, I 69, (1 1 1)
- 2θ 17.69, d 5.015, I 52, (2 2 -1)
- 2θ 20.84, d 4.263, I 63, (2 2 1)
- 2θ 24.97, d 3.566, I 80, (3 3 -1)
- 2θ 30.38, d 2.942, I 54, (4 2 1)
- 2θ 31.17, d 2.870, I 61, (2 4 -2)
- 2θ 49.69, d 1.835, I 66, (6 6 -1)

Cell and atoms:
```
data_K2Ge2S5
_cell_length_a 15.5548
_cell_length_b 15.5916
_cell_length_c 8.9481
_cell_angle_alpha 90.00
_cell_angle_beta 104.43
_cell_angle_gamma 90.00
_symmetry_space_group_name_H-M 'C 1 2/c 1'
_symmetry_Int_Tables_number 15
loop_
_symmetry_equiv_pos_as_xyz
'x,y,z'
'-x,-y,-z'
'-x,y,-z+1/2'
'x,-y,z+1/2'
'x+1/2,y+1/2,z'
'-x+1/2,-y+1/2,-z'
'-x+1/2,y+1/2,-z+1/2'
'x+1/2,-y+1/2,z+1/2'
loop_
_atom_site_label
_atom_site_fract_x
_atom_site_fract_y
_atom_site_fract_z
_atom_site_occupancy
K1 0.1365 0.0758 0.1179 1
K2 0.1590 0.3727 0.3801 1
Ge1 0.0683 0.2015 0.6101 1
Ge2 0.1032 0.3704 0.9042 1
S1 0.0000 0.1153 0.7500 1
S2 0.0000 0.4550 0.7500 1
S3 0.0381 0.2829 0.0489 1
S4 0.1269 0.1201 0.4702 1
S5 0.1718 0.2865 0.7601 1
S6 0.2029 0.4460 0.0554 1
```